Structure and theoretical XRD peak list of SmZrNO2 (a cell relaxed with PBE; Cu Ka).
Neutral-atom scattering factors, no anomalous dispersion.

Cell and atoms:
a = 5.845 Å, b = 8.335 Å, c = 5.694 Å
α = 90.00°, β = 90.00°, γ = 90.00°
Space group Pnma (No. 62)
Unique sites:
1 Sm 0.046 0.250 0.013 x4
2 Zr 0.000 0.000 0.500 x4
3 N 0.045 0.750 0.594 x4
4 O 0.177 0.545 0.174 x8

Principal peaks in the range 10° ≤ 2θ ≤ 90°, by angle:
d [Å]	I/Imax	index
2.916	100	1 2 1
2.847	20	0 0 2
2.084	12	0 4 0
2.039	16	2 0 2
1.697	8	2 4 0
1.686	12	3 2 1
1.682	9	0 4 2
1.657	19	1 2 3
1.457	10	2 4 2
1.315	8	1 6 1